Calculated X-ray powder pattern of Mo2P3O12 for copper Kα, from a GGA+U-relaxed structure.

```
Mo2P3O12
1.0
8.6915 0.0000 0.0000
4.2891 7.6083 0.0000
4.2788 2.5204 7.4737
Mo P O
4 6 24
Direct
0.1393 0.1417 0.0732 Mo
0.3591 0.3602 0.4301 Mo
0.6409 0.6398 0.5699 Mo
0.8607 0.8583 0.9268 Mo
0.0362 0.7499 0.2509 P
0.2457 0.5387 0.7469 P
0.4700 0.0293 0.2487 P
0.5300 0.9707 0.7513 P
0.7543 0.4613 0.2531 P
0.9638 0.2501 0.7491 P
0.0017 0.1961 0.9264 O
0.0693 0.9152 0.2370 O
0.0913 0.7247 0.7699 O
0.1403 0.2684 0.5906 O
0.1986 0.3763 0.9133 O
0.2039 0.5734 0.2598 O
0.2538 0.5279 0.5768 O
0.2879 0.0872 0.2073 O
0.3668 0.9869 0.9254 O
0.4306 0.5379 0.7311 O
0.4521 0.1882 0.2911 O
0.4810 0.8481 0.4026 O
0.5190 0.1519 0.5974 O
0.5479 0.8118 0.7089 O
0.5694 0.4621 0.2689 O
0.6332 0.0131 0.0746 O
0.7121 0.9128 0.7927 O
0.7462 0.4721 0.4232 O
0.7961 0.4266 0.7402 O
0.8014 0.6237 0.0867 O
0.8598 0.7316 0.4094 O
0.9087 0.2753 0.2301 O
0.9307 0.0848 0.7630 O
0.9983 0.8039 0.0736 O
```

Most intense lines, 2θ from 15° to 90°, by angle:
(hkl)  Position (°2θ)  I/Imax
0 1 -1  19.66  100.0
1 1 2  19.82  45.2
1 -1 0  20.20  31.9
2 1 1  20.39  67.5
1 2 0  23.50  46.4
2 1 0  23.63  32.3
0 2 2  28.38  33.1
2 0 2  28.50  63.6
1 -1 2  31.45  37.3
2 1 3  31.64  26.8